(1)
The following is a calculated PXRD pattern of BeCl. It was derived from a structure optimized by DFT (PBE), using Cu Kα, 1.54184 Å.

Most intense lines, 2θ from 15° to 90°, by intensity:
| 2θ/deg | I/Imax |
| --- | --- |
| 30.26 | 100.0 |
| 23.82 | 81.9 |
| 24.05 | 79.7 |
| 39.08 | 49.6 |
| 33.98 | 33.4 |
| 38.96 | 31.4 |
| 34.24 | 25.9 |
| 46.11 | 22.9 |
| 58.82 | 14.5 |
| 17.78 | 13.7 |

Structural model:
a b c (Å): 5.5165 5.5165 8.3107
angles (deg): 108.19 108.19 33.89
Sites, in units of the cell vectors:
1 Be 0.0000 0.0000 0.0000
2 Be 0.0366 0.0366 0.7665
3 Be 0.4005 0.4005 0.7510
4 Cl 0.2376 0.2376 0.8265
5 Cl 0.5311 0.5311 0.1620
6 Cl 0.8849 0.8849 0.5437

***

(2)
The following is a calculated PXRD pattern of Sc2Nb3Ga4. It was derived from a structure optimized by DFT (PBE), using Cu Kα, 1.54184 Å.

Most intense lines, 2θ from 15° to 90°, by intensity:
| 2θ/deg | I/Imax |
| --- | --- |
| 36.73 | 100.0 |
| 41.01 | 96.2 |
| 36.02 | 85.3 |
| 36.90 | 78.5 |
| 40.22 | 63.9 |
| 40.75 | 52.8 |
| 18.21 | 45.4 |
| 36.25 | 44.6 |
| 42.29 | 40.2 |
| 36.49 | 38.9 |

Structural model:
a b c (Å): 7.1639 7.0607 6.9501
angles (deg): 90.00 110.00 90.00
Sites, in units of the cell vectors:
1 Sc 0.1900 0.1600 0.0646
2 Sc 0.1900 0.3400 0.5646
3 Sc 0.8100 0.6600 0.4354
4 Sc 0.8100 0.8400 0.9354
5 Nb 0.2583 0.6897 0.2449
6 Nb 0.2583 0.8103 0.7449
7 Nb 0.5000 0.0000 0.5000
8 Nb 0.5000 0.5000 0.0000
9 Nb 0.7417 0.1897 0.2551
10 Nb 0.7417 0.3103 0.7551
11 Ga 0.0748 0.5328 0.8572
12 Ga 0.0748 0.9672 0.3572
13 Ga 0.4766 0.1277 0.8648
14 Ga 0.4766 0.3723 0.3648
15 Ga 0.5234 0.6277 0.6352
16 Ga 0.5234 0.8723 0.1352
17 Ga 0.9252 0.0328 0.6428
18 Ga 0.9252 0.4672 0.1428

***

(3)
The following is a calculated PXRD pattern of HCl. It was derived from a structure optimized by DFT (PBE), using Cu Kα, 1.54184 Å.

Most intense lines, 2θ from 15° to 90°, by intensity:
| 2θ/deg | I/Imax |
| --- | --- |
| 26.73 | 100.0 |
| 30.23 | 37.7 |
| 51.59 | 24.8 |
| 44.88 | 18.4 |
| 32.38 | 12.9 |
| 43.27 | 11.9 |
| 54.40 | 10.1 |
| 55.07 | 9.4 |
| 71.93 | 8.3 |
| 80.52 | 6.1 |

Structural model:
a b c (Å): 4.0480 4.0480 4.0480
angles (deg): 117.80 117.80 93.85
Sites, in units of the cell vectors:
1 H 0.0000 0.0000 0.0000
2 Cl 0.7668 0.7668 0.0000